The following is a simulated X-ray diffraction stick pattern of Tc2RuPt. It was derived from DFT lattice parameters and positions (GGA-PBE), using Cu Kα (weighted mean of Kα1 and Kα2).
Kinematic intensities with the Lorentz-polarization factor, no thermal factor.

Unit cell a=2.743 b=4.385 c=4.826 alpha=90.00 beta=90.00 gamma=90.00
Space group Pmm2 (No. 25)
One atom of each set of equivalent atoms:
Tc: 0.000 0.000 0.000 x1
Tc: 0.000 0.500 0.318 x1
Ru: 0.500 0.000 0.485 x1
Pt: 0.500 0.500 0.821 x1

The 10 most intense peaks (2θ from 15° to 90°), in order of rising 2θ:
hkl 1 0 1, 37.72 deg, rel. 29; hkl 0 2 0, 41.17 deg, rel. 39; hkl 0 1 2, 42.77 deg, rel. 54; hkl 1 1 1, 43.18 deg, rel. 100; hkl 1 2 1, 57.06 deg, rel. 17; hkl 1 0 3, 67.49 deg, rel. 17; hkl 1 3 1, 76.43 deg, rel. 18; hkl 1 2 3, 82.21 deg, rel. 20; hkl 2 2 0, 83.03 deg, rel. 17; hkl 2 1 2, 84.13 deg, rel. 15